(1)
Simulated PXRD pattern of Ho2Tm5Hg for Cu Ka, from DFT lattice parameters and positions (PBE).

Peak list (10 most intense, 2θ from 10° to 80°, in order of rising 2θ)
2θ 29.62, I 24; 2θ 32.76, I 24; 2θ 33.94, I 100; 2θ 44.74, I 16; 2θ 52.53, I 6; 2θ 52.56, I 13; 2θ 59.24, I 20; 2θ 63.32, I 22; 2θ 64.04, I 16; 2θ 71.44, I 4

Crystal structure
```
data_Ho2Tm5Hg
_cell_length_a 5.4672
_cell_length_b 6.9682
_cell_length_c 12.0617
_cell_angle_alpha 90.00
_cell_angle_beta 90.00
_cell_angle_gamma 90.00
_space_group_name_H-M_alt 'A m m 2'
_space_group_IT_number 38
loop_
_space_group_symop_operation_xyz
'x,y,z'
'-x,-y,z'
'-x,y,z'
'x,-y,z'
'x,y+1/2,z+1/2'
'-x,-y+1/2,z+1/2'
'-x,y+1/2,z+1/2'
'x,-y+1/2,z+1/2'
loop_
_atom_site_label
_atom_site_type_symbol
_atom_site_fract_x
_atom_site_fract_y
_atom_site_fract_z
Ho1 Ho 0.0000 0.0000 0.0000
Ho2 Ho 0.5000 0.0000 0.3417
Tm1 Tm 0.0000 0.2435 0.7563
Tm2 Tm 0.5000 0.0000 0.8372
Tm3 Tm 0.5000 0.2464 0.5867
Hg1 Hg 0.0000 0.0000 0.5071
```



(2)
Simulated PXRD pattern of ReSe2Cl12 for Cu Ka, from DFT lattice parameters and positions (PBE).

Peak list (10 most intense, 2θ from 10° to 80°, in order of rising 2θ)
2θ 11.04, I 68; 2θ 16.05, I 49; 2θ 16.19, I 36; 2θ 17.19, I 100; 2θ 22.69, I 40; 2θ 26.46, I 50; 2θ 32.02, I 26; 2θ 32.43, I 51; 2θ 41.90, I 32; 2θ 42.20, I 49

Crystal structure
```
data_ReSe2Cl12
_cell_length_a 11.7526
_cell_length_b 12.7092
_cell_length_c 21.5579
_cell_angle_alpha 90.00
_cell_angle_beta 90.00
_cell_angle_gamma 90.00
_space_group_name_H-M_alt 'F d d 2'
_space_group_IT_number 43
_space_group_name_Hall 'F 2 -2d'
loop_
_atom_site_label
_atom_site_type_symbol
_atom_site_fract_x
_atom_site_fract_y
_atom_site_fract_z
Re1 Re 0.0000 0.0000 0.0000
Se1 Se 0.0079 0.2233 0.5830
Cl1 Cl 0.1141 0.1530 0.0006
Cl2 Cl 0.1144 0.4231 0.5787
Cl3 Cl 0.1147 0.1685 0.5053
Cl4 Cl 0.1183 0.1625 0.6582
Cl5 Cl 0.1188 0.4221 0.4244
Cl6 Cl 0.1199 0.4025 0.0777
```



Repeat the first record exactly.
Simulated PXRD pattern of Ho2Tm5Hg for Cu Ka, from DFT lattice parameters and positions (PBE).

Peak list (10 most intense, 2θ from 10° to 80°, in order of rising 2θ)
2θ 29.62, I 24; 2θ 32.76, I 24; 2θ 33.94, I 100; 2θ 44.74, I 16; 2θ 52.53, I 6; 2θ 52.56, I 13; 2θ 59.24, I 20; 2θ 63.32, I 22; 2θ 64.04, I 16; 2θ 71.44, I 4

Crystal structure
```
data_Ho2Tm5Hg
_cell_length_a 5.4672
_cell_length_b 6.9682
_cell_length_c 12.0617
_cell_angle_alpha 90.00
_cell_angle_beta 90.00
_cell_angle_gamma 90.00
_space_group_name_H-M_alt 'A m m 2'
_space_group_IT_number 38
loop_
_space_group_symop_operation_xyz
'x,y,z'
'-x,-y,z'
'-x,y,z'
'x,-y,z'
'x,y+1/2,z+1/2'
'-x,-y+1/2,z+1/2'
'-x,y+1/2,z+1/2'
'x,-y+1/2,z+1/2'
loop_
_atom_site_label
_atom_site_type_symbol
_atom_site_fract_x
_atom_site_fract_y
_atom_site_fract_z
Ho1 Ho 0.0000 0.0000 0.0000
Ho2 Ho 0.5000 0.0000 0.3417
Tm1 Tm 0.0000 0.2435 0.7563
Tm2 Tm 0.5000 0.0000 0.8372
Tm3 Tm 0.5000 0.2464 0.5867
Hg1 Hg 0.0000 0.0000 0.5071
```